[1]
Structure and calculated XRD peak list of HoGa2F8 (the PBE geometry in Alexandria; λ = 1.5418 Å (Cu Kα)).

Largest 6 diffraction maxima, low angle first, 2θ from 15° to 90°:
d = 5.790 Å, 2θ 15.30, rel. 30
d = 3.343 Å, 2θ 26.67, rel. 100
d = 3.323 Å, 2θ 26.83, rel. 89
d = 2.580 Å, 2θ 34.77, rel. 25
d = 1.926 Å, 2θ 47.18, rel. 39
d = 1.672 Å, 2θ 54.93, rel. 28

Structure:
Cell lengths 6.6861, 6.6861, 4.0574 Å; angles 90.00, 90.00, 120.00 degrees
Fractional positions:
Ho 0.0000 0.0000 0.0000
Ga 0.3333 0.6667 0.7384
Ga 0.6667 0.3333 0.2616
F 0.1654 0.3325 0.7409
F 0.1671 0.8346 0.7409
F 0.3325 0.1671 0.2591
F 0.3333 0.6667 0.2431
F 0.6667 0.3333 0.7569
F 0.6675 0.8329 0.7409
F 0.8329 0.1654 0.2591
F 0.8346 0.6675 0.2591



[2]
Structure and calculated XRD peak list of Na2Ga2P3 (the PBE geometry in Alexandria; λ = 1.5418 Å (Cu Kα)).

Largest 6 diffraction maxima, low angle first, 2θ from 15° to 90°:
d = 3.280 Å, 2θ 27.19, rel. 49
d = 3.218 Å, 2θ 27.72, rel. 71
d = 2.938 Å, 2θ 30.42, rel. 57
d = 2.743 Å, 2θ 32.64, rel. 45
d = 2.513 Å, 2θ 35.72, rel. 100
d = 1.938 Å, 2θ 46.89, rel. 40

Structure:
Cell lengths 10.2260, 10.2260, 6.4366 Å; angles 107.74, 107.74, 82.88 degrees
Fractional positions:
Na 0.0691 0.9309 0.7500
Na 0.2147 0.7853 0.2500
Na 0.3188 0.4908 0.8990
Na 0.4908 0.3188 0.3990
Na 0.5092 0.6812 0.6010
Na 0.6812 0.5092 0.1010
Na 0.7853 0.2147 0.7500
Na 0.9309 0.0691 0.2500
Ga 0.0244 0.5830 0.3565
Ga 0.1550 0.2990 0.1800
Ga 0.2990 0.1550 0.6800
Ga 0.4170 0.9756 0.1435
Ga 0.5830 0.0244 0.8565
Ga 0.7010 0.8450 0.3200
Ga 0.8450 0.7010 0.8200
Ga 0.9756 0.4170 0.6435
P 0.0745 0.6392 0.7642
P 0.0846 0.2268 0.7730
P 0.2268 0.0846 0.2730
P 0.2606 0.5114 0.3705
P 0.3608 0.9255 0.7358
P 0.4886 0.7394 0.1295
P 0.5114 0.2606 0.8705
P 0.6392 0.0745 0.2642
P 0.7394 0.4886 0.6295
P 0.7732 0.9154 0.7270
P 0.9154 0.7732 0.2270
P 0.9255 0.3608 0.2358



[3]
Structure and calculated XRD peak list of Na3NdY2O6 (the PBE geometry in Alexandria; λ = 1.5418 Å (Cu Kα)).

Largest 6 diffraction maxima, low angle first, 2θ from 15° to 90°:
d = 5.608 Å, 2θ 15.80, rel. 86
d = 2.973 Å, 2θ 30.06, rel. 42
d = 2.843 Å, 2θ 31.47, rel. 55
d = 2.453 Å, 2θ 36.63, rel. 100
d = 1.744 Å, 2θ 52.47, rel. 33
d = 1.726 Å, 2θ 53.07, rel. 30

Structure:
Cell lengths 6.0417, 6.0417, 5.9559 Å; angles 99.70, 99.70, 120.03 degrees
Fractional positions:
Na 0.0000 0.0000 0.0000
Na 0.3288 0.6712 0.0000
Na 0.6712 0.3288 0.0000
Nd 0.5000 0.5000 0.5000
Y 0.1665 0.8335 0.5000
Y 0.8335 0.1665 0.5000
O 0.0859 0.4292 0.2872
O 0.2276 0.2276 0.7140
O 0.4292 0.0859 0.2872
O 0.5708 0.9141 0.7128
O 0.7724 0.7724 0.2860
O 0.9141 0.5708 0.7128



[4]
Structure and calculated XRD peak list of ThMn2Si3 (the PBE geometry in Alexandria; λ = 1.5418 Å (Cu Kα)).

Largest 6 diffraction maxima, low angle first, 2θ from 15° to 90°:
d = 3.893 Å, 2θ 22.84, rel. 65
d = 3.031 Å, 2θ 29.47, rel. 27
d = 2.947 Å, 2θ 30.33, rel. 33
d = 2.562 Å, 2θ 35.02, rel. 100
d = 2.412 Å, 2θ 37.27, rel. 30
d = 2.280 Å, 2θ 39.52, rel. 30

Structure:
Cell lengths 6.0887, 6.0887, 5.1802 Å; angles 90.00, 90.00, 75.75 degrees
Fractional positions:
Th 0.1645 0.8355 0.7500
Th 0.8355 0.1645 0.2500
Mn 0.2993 0.2993 0.0000
Mn 0.2993 0.2993 0.5000
Mn 0.7007 0.7007 0.0000
Mn 0.7007 0.7007 0.5000
Si 0.0301 0.5953 0.2500
Si 0.4047 0.9699 0.2500
Si 0.4298 0.5702 0.2500
Si 0.5702 0.4298 0.7500
Si 0.5953 0.0301 0.7500
Si 0.9699 0.4047 0.7500